[1]
Structure and computed powder XRD pattern of PmPr3Dy4 (a structure optimized by DFT (PBE); Cu Kα).
Neutral-atom scattering factors, no anomalous dispersion.

Crystal structure
abc: 11.662 7.348 6.328
angles: 90.00 90.00 90.00
Space group Pmn2_1 (No. 31)
Symmetry-distinct sites (fractional):
Pm 0.000 0.129 0.000
Pr 0.000 0.872 0.499
Pr 0.250 0.128 0.336
Dy 0.000 0.379 0.502
Dy 0.000 0.621 0.001
Dy 0.250 0.379 0.834

The 10 most intense peaks (2θ = 5–70°), by intensity:
d (Å)	Position (°2θ)	I (rel.)	h k l
2.790	32.1	100	2 2 1
2.781	32.2	49	2 0 2
2.915	30.7	37	4 0 0
1.657	55.4	32	6 2 1
2.147	42.1	24	4 0 2
3.177	28.1	23	0 2 1
1.549	59.7	23	4 2 3
1.829	49.9	19	0 2 3
1.533	60.4	16	2 4 2
3.164	28.2	12	0 0 2

=====

[2]
Structure and computed powder XRD pattern of Ta2Te5 (a structure optimized by DFT (PBE); Cu Kα).
Neutral-atom scattering factors, no anomalous dispersion.

Crystal structure
abc: 13.279 3.511 8.967
angles: 90.00 110.40 90.00
Space group C2/m (No. 12)
Symmetry-distinct sites (fractional):
Ta 0.152 0.000 0.427
Te 0.000 0.500 0.500
Te 0.034 0.000 0.866
Te 0.229 0.500 0.249

The 10 most intense peaks (2θ = 5–70°), by intensity:
d (Å)	Position (°2θ)	I (rel.)	h k l
8.404	10.5	100	0 0 1
2.738	32.7	99	3 1 -1
2.533	35.4	69	3 1 -2
3.027	29.5	50	2 0 2
6.126	14.5	48	2 0 -1
2.062	43.9	36	1 1 3
1.865	48.8	31	1 1 -4
1.756	52.1	31	0 2 0
2.634	34.0	30	4 0 1
1.857	49.1	29	5 1 1

=====

[3]
Structure and computed powder XRD pattern of NaCdHgAu2 (a structure optimized by DFT (PBE); Cu Kα).
Neutral-atom scattering factors, no anomalous dispersion.

Crystal structure
abc: 4.064 4.192 13.828
angles: 90.00 90.00 90.00
Space group Imm2 (No. 44)
Symmetry-distinct sites (fractional):
Na 0.000 0.000 0.000
Cd 0.000 0.500 0.783
Hg 0.000 0.000 0.627
Au 0.000 0.000 0.429
Au 0.000 0.500 0.285

The 10 most intense peaks (2θ = 5–70°), by intensity:
d (Å)	Position (°2θ)	I (rel.)	h k l
2.230	40.5	100	1 1 4
2.688	33.3	97	1 1 2
2.307	39.0	59	0 0 6
4.012	22.2	58	0 1 1
3.899	22.8	56	1 0 1
1.525	60.7	33	2 0 6
2.096	43.2	30	0 2 0
6.914	12.8	29	0 0 2
2.032	44.6	28	2 0 0
2.286	39.4	23	1 0 5

=====

[4]
Structure and computed powder XRD pattern of Cs3Cd3Pb (a structure optimized by DFT (PBE); Cu Kα).
Neutral-atom scattering factors, no anomalous dispersion.

Crystal structure
abc: 14.660 5.306 18.742
angles: 90.00 109.97 90.00
Space group C2/m (No. 12)
Symmetry-distinct sites (fractional):
Cs 0.016 0.000 0.388
Cs 0.115 0.000 0.922
Cs 0.244 0.500 0.769
Cd 0.055 0.500 0.230
Cd 0.081 0.500 0.077
Cd 0.203 0.500 0.533
Pb 0.236 0.500 0.380

The 10 most intense peaks (2θ = 5–70°), by intensity:
d (Å)	Position (°2θ)	I (rel.)	h k l
3.582	24.9	100	3 1 -1
3.512	25.4	53	1 1 -4
7.320	12.1	49	2 0 -1
2.653	33.8	48	0 2 0
17.615	5.0	46	0 0 1
2.979	30.0	45	3 1 2
3.035	29.4	42	4 0 -5
2.205	40.9	31	3 1 5
3.182	28.0	30	4 0 1
3.559	25.0	28	3 1 -2